Theoretical powder X-ray diffraction pattern
Compound: Zr2H
Radiation: Cu Ka
Structure: a crystal structure in OQMD, relaxed with GGA-PBE
Kinematic intensities with the Lorentz-polarization factor, no thermal factor.

The 8 most intense peaks (2θ from 10° to 90°), by intensity:
(2 2 0), 2θ 33.40, d = 2.682 Å, I = 100.0
(0 2 1), 2θ 33.56, d = 2.670 Å, I = 98.7
(2 0 1), 2θ 39.42, d = 2.286 Å, I = 61.9
(2 4 1), 2θ 55.69, d = 1.651 Å, I = 45.0
(0 4 0), 2θ 37.71, d = 2.386 Å, I = 35.1
(2 6 0), 2θ 65.39, d = 1.427 Å, I = 26.9
(4 2 1), 2θ 67.58, d = 1.386 Å, I = 24.3
(2 2 2), 2θ 67.86, d = 1.381 Å, I = 24.0

abc: 6.487 9.543 3.222
angles: 90.00 90.00 90.00
Space group Cmmm (No. 65)
One atom of each set of equivalent atoms:
Zr: 0.000 0.000 0.000 x2
Zr: 0.000 0.500 0.000 x2
Zr: 0.250 0.250 0.500 x4
H: 0.000 0.125 0.500 x4

Theoretical powder X-ray diffraction pattern
Compound: ZrH6
Radiation: Cu Ka
Structure: a crystal structure in OQMD, relaxed with GGA-PBE
Kinematic intensities with the Lorentz-polarization factor, no thermal factor.

The 8 most intense peaks (2θ from 10° to 90°), by intensity:
(1 1 1), 2θ 31.98, d = 2.799 Å, I = 100.0
(0 0 2), 2θ 24.96, d = 3.567 Å, I = 58.1
(0 2 1), 2θ 29.79, d = 2.999 Å, I = 49.6
(1 1 3), 2θ 48.59, d = 1.874 Å, I = 30.7
(1 3 2), 2θ 55.90, d = 1.645 Å, I = 26.0
(1 3 0), 2θ 49.15, d = 1.854 Å, I = 18.4
(0 2 0), 2θ 26.97, d = 3.305 Å, I = 16.4
(0 2 2), 2θ 37.08, d = 2.425 Å, I = 15.6

abc: 3.427 6.611 7.135
angles: 90.00 90.00 90.00
Space group Cmc2_1 (No. 36)
One atom of each set of equivalent atoms:
Zr: 0.000 0.176 0.000 x4
H: 0.000 0.162 0.487 x4
H: 0.000 0.318 0.765 x4
H: 0.000 0.395 0.317 x4
H: 0.000 0.482 0.053 x4
H: 0.211 0.063 0.779 x8

Theoretical powder X-ray diffraction pattern
Compound: Zr5H8
Radiation: Cu Ka
Structure: a crystal structure in OQMD, relaxed with GGA-PBE
Kinematic intensities with the Lorentz-polarization factor, no thermal factor.

The 8 most intense peaks (2θ from 10° to 90°), by intensity:
(1 2 1), 2θ 32.57, d = 2.750 Å, I = 100.0
(0 0 2), 2θ 37.78, d = 2.381 Å, I = 47.3
(1 2 3), 2θ 64.94, d = 1.436 Å, I = 37.5
(3 1 2), 2θ 54.50, d = 1.684 Å, I = 34.1
(5 0 3), 2θ 89.76, d = 1.093 Å, I = 15.6
(2 4 2), 2θ 68.22, d = 1.375 Å, I = 10.7
(6 2 0), 2θ 80.76, d = 1.190 Å, I = 3.3
(0 0 4), 2θ 80.61, d = 1.192 Å, I = 1.8

abc: 7.526 7.526 4.767
angles: 90.00 90.00 90.00
Space group I4/m (No. 87)
One atom of each set of equivalent atoms:
Zr: 0.000 0.000 0.000 x2
Zr: 0.096 0.690 0.500 x8
H: 0.100 0.200 0.252 x16

Theoretical powder X-ray diffraction pattern
Compound: Zr4H7
Radiation: Cu Ka
Structure: a crystal structure in OQMD, relaxed with GGA-PBE
Kinematic intensities with the Lorentz-polarization factor, no thermal factor.

The 7 most intense peaks (2θ from 10° to 90°), by intensity:
(1 1 1), 2θ 32.51, d = 2.754 Å, I = 100.0
(2 0 0), 2θ 37.72, d = 2.385 Å, I = 47.0
(3 1 1), 2θ 64.83, d = 1.438 Å, I = 38.3
(2 2 0), 2θ 54.40, d = 1.686 Å, I = 34.4
(3 3 1), 2θ 89.57, d = 1.094 Å, I = 16.0
(2 2 2), 2θ 68.09, d = 1.377 Å, I = 10.7
(4 0 0), 2θ 80.55, d = 1.193 Å, I = 5.2

abc: 4.770 4.770 4.770
angles: 90.00 90.00 90.00
Space group P-43m (No. 215)
One atom of each set of equivalent atoms:
Zr: 0.246 0.246 0.754 x4
H: 0.000 0.000 0.500 x3
H: 0.000 0.500 0.500 x3
H: 0.500 0.500 0.500 x1

Theoretical powder X-ray diffraction pattern
Compound: Zr2H3
Radiation: Cu Ka
Structure: a crystal structure in OQMD, relaxed with GGA-PBE
Kinematic intensities with the Lorentz-polarization factor, no thermal factor.

The 7 most intense peaks (2θ from 10° to 90°), by intensity:
(1 1 1), 2θ 32.61, d = 2.746 Å, I = 100.0
(2 0 0), 2θ 37.83, d = 2.378 Å, I = 47.4
(3 1 1), 2θ 65.04, d = 1.434 Å, I = 38.5
(2 2 0), 2θ 54.57, d = 1.682 Å, I = 34.3
(3 3 1), 2θ 89.90, d = 1.091 Å, I = 16.2
(2 2 2), 2θ 68.32, d = 1.373 Å, I = 10.8
(4 0 0), 2θ 80.83, d = 1.189 Å, I = 5.2

abc: 4.756 4.756 4.756
angles: 90.00 90.00 90.00
Space group Pn-3m (No. 224, origin choice 2)
One atom of each set of equivalent atoms:
Zr: 0.000 0.000 0.000 x4
H: 0.250 0.250 0.750 x6

Theoretical powder X-ray diffraction pattern
Compound: Zr2H3
Radiation: Cu Ka
Structure: a crystal structure in OQMD, relaxed with GGA-PBE
Kinematic intensities with the Lorentz-polarization factor, no thermal factor.

The 8 most intense peaks (2θ from 10° to 90°), by intensity:
(1 1 0), 2θ 32.95, d = 2.719 Å, I = 100.0
(0 2 0), 2θ 35.81, d = 2.507 Å, I = 18.9
(1 0 -2), 2θ 36.15, d = 2.484 Å, I = 18.4
(1 3 0), 2θ 62.55, d = 1.485 Å, I = 14.9
(2 1 -2), 2θ 63.00, d = 1.476 Å, I = 14.6
(1 2 -2), 2θ 51.80, d = 1.765 Å, I = 13.8
(1 0 2), 2θ 42.41, d = 2.132 Å, I = 11.8
(2 2 0), 2θ 69.10, d = 1.359 Å, I = 10.7

abc: 3.273 5.015 6.549
angles: 90.00 98.74 90.00
Space group P2/c (No. 13)
One atom of each set of equivalent atoms:
Zr: 0.000 0.000 0.000 x2
Zr: 0.500 0.496 0.250 x2
H: 0.000 0.251 0.750 x2
H: 0.492 0.251 0.499 x4

Theoretical powder X-ray diffraction pattern
Compound: ZrH4
Radiation: Cu Ka
Structure: a crystal structure in OQMD, relaxed with GGA-PBE
Kinematic intensities with the Lorentz-polarization factor, no thermal factor.

The 8 most intense peaks (2θ from 10° to 90°), by intensity:
(0 1 1), 2θ 29.04, d = 3.075 Å, I = 100.0
(1 1 1), 2θ 32.02, d = 2.796 Å, I = 63.3
(1 0 2), 2θ 36.18, d = 2.483 Å, I = 60.6
(2 0 0), 2θ 26.57, d = 3.355 Å, I = 49.2
(1 1 3), 2θ 58.97, d = 1.566 Å, I = 46.4
(2 1 1), 2θ 39.76, d = 2.267 Å, I = 44.6
(2 1 0), 2θ 35.88, d = 2.503 Å, I = 41.2
(2 0 1), 2θ 31.48, d = 2.842 Å, I = 39.0

abc: 6.710 3.759 5.345
angles: 90.00 90.00 90.00
Space group Pnma (No. 62)
One atom of each set of equivalent atoms:
Zr: 0.189 0.250 0.154 x4
H: 0.072 0.005 0.827 x8
H: 0.134 0.750 0.367 x4
H: 0.205 0.250 0.530 x4

Theoretical powder X-ray diffraction pattern
Compound: Zr2H3
Radiation: Cu Ka
Structure: a crystal structure in OQMD, relaxed with GGA-PBE
Kinematic intensities with the Lorentz-polarization factor, no thermal factor.

The 8 most intense peaks (2θ from 10° to 90°), by intensity:
(1 1 1), 2θ 32.74, d = 2.735 Å, I = 100.0
(2 0 0), 2θ 39.27, d = 2.294 Å, I = 28.8
(2 0 2), 2θ 53.82, d = 1.703 Å, I = 24.1
(3 1 1), 2θ 67.09, d = 1.395 Å, I = 23.6
(0 0 2), 2θ 35.30, d = 2.543 Å, I = 19.4
(1 1 3), 2θ 61.75, d = 1.502 Å, I = 15.3
(3 1 3), 2θ 88.76, d = 1.102 Å, I = 11.2
(2 2 2), 2θ 68.63, d = 1.368 Å, I = 10.8

abc: 4.588 4.588 5.085
angles: 90.00 90.00 90.00
Space group P4_2/nnm (No. 134, origin choice 2)
One atom of each set of equivalent atoms:
Zr: 0.000 0.000 0.000 x4
H: 0.250 0.250 0.250 x4
H: 0.250 0.750 0.250 x2

Theoretical powder X-ray diffraction pattern
Compound: Zr4H7
Radiation: Cu Ka
Structure: a crystal structure in OQMD, relaxed with GGA-PBE
Kinematic intensities with the Lorentz-polarization factor, no thermal factor.

The 7 most intense peaks (2θ from 10° to 90°), by intensity:
(1 1 2), 2θ 32.49, d = 2.755 Å, I = 100.0
(2 0 0), 2θ 37.70, d = 2.386 Å, I = 47.0
(3 1 2), 2θ 64.79, d = 1.439 Å, I = 38.3
(2 2 0), 2θ 54.37, d = 1.687 Å, I = 34.3
(3 3 2), 2θ 89.51, d = 1.095 Å, I = 15.9
(2 2 4), 2θ 68.05, d = 1.378 Å, I = 10.7
(4 0 0), 2θ 80.50, d = 1.193 Å, I = 5.1

abc: 4.773 4.773 9.543
angles: 90.00 90.00 90.00
Space group I-42m (No. 121)
One atom of each set of equivalent atoms:
Zr: 0.245 0.245 0.123 x8
H: 0.000 0.000 0.249 x4
H: 0.000 0.000 0.500 x2
H: 0.000 0.500 0.000 x4
H: 0.000 0.500 0.250 x4

Theoretical powder X-ray diffraction pattern
Compound: Zr2H3
Radiation: Cu Ka
Structure: a crystal structure in OQMD, relaxed with GGA-PBE
Kinematic intensities with the Lorentz-polarization factor, no thermal factor.

The 8 most intense peaks (2θ from 10° to 90°), by intensity:
(1 1 1), 2θ 32.59, d = 2.747 Å, I = 100.0
(2 0 0), 2θ 37.89, d = 2.375 Å, I = 31.1
(3 1 1), 2θ 65.11, d = 1.433 Å, I = 24.6
(2 0 2), 2θ 54.49, d = 1.684 Å, I = 22.7
(0 0 2), 2θ 37.66, d = 2.388 Å, I = 16.1
(1 1 3), 2θ 64.80, d = 1.439 Å, I = 13.0
(2 2 0), 2θ 54.66, d = 1.679 Å, I = 11.0
(2 2 2), 2θ 68.28, d = 1.374 Å, I = 10.5

abc: 4.749 4.749 4.777
angles: 90.00 90.00 90.00
Space group P4_2/mcm (No. 132)
One atom of each set of equivalent atoms:
Zr: 0.239 0.239 0.000 x4
H: 0.000 0.500 0.250 x4
H: 0.500 0.500 0.250 x2

Theoretical powder X-ray diffraction pattern
Compound: Zr2H5
Radiation: Cu Ka
Structure: a crystal structure in OQMD, relaxed with GGA-PBE
Kinematic intensities with the Lorentz-polarization factor, no thermal factor.

The 8 most intense peaks (2θ from 10° to 90°), by intensity:
(1 2 1), 2θ 32.65, d = 2.743 Å, I = 100.0
(0 4 2), 2θ 56.70, d = 1.624 Å, I = 20.8
(0 4 0), 2θ 35.08, d = 2.558 Å, I = 20.2
(2 0 0), 2θ 34.96, d = 2.566 Å, I = 20.1
(1 6 1), 2θ 61.40, d = 1.510 Å, I = 15.7
(3 2 1), 2θ 61.25, d = 1.513 Å, I = 15.4
(2 4 0), 2θ 50.37, d = 1.812 Å, I = 14.9
(0 0 2), 2θ 43.10, d = 2.099 Å, I = 11.5

abc: 5.133 10.232 4.197
angles: 90.00 90.00 90.00
Space group Ibam (No. 72)
One atom of each set of equivalent atoms:
Zr: 0.240 0.123 0.000 x8
H: 0.000 0.255 0.250 x8
H: 0.000 0.500 0.250 x4
H: 0.150 0.076 0.500 x8

Theoretical powder X-ray diffraction pattern
Compound: ZrH4
Radiation: Cu Ka
Structure: a crystal structure in OQMD, relaxed with GGA-PBE
Kinematic intensities with the Lorentz-polarization factor, no thermal factor.

The 8 most intense peaks (2θ from 10° to 90°), by intensity:
(0 1 1), 2θ 30.30, d = 2.950 Å, I = 100.0
(1 2 0), 2θ 33.39, d = 2.683 Å, I = 90.5
(1 1 1), 2θ 32.82, d = 2.729 Å, I = 74.6
(2 1 0), 2θ 29.26, d = 3.052 Å, I = 74.0
(2 0 1), 2θ 36.21, d = 2.481 Å, I = 63.8
(3 2 1), 2θ 56.66, d = 1.625 Å, I = 49.6
(2 0 0), 2θ 24.78, d = 3.593 Å, I = 46.9
(1 3 1), 2θ 56.20, d = 1.637 Å, I = 38.4

abc: 7.185 5.785 3.429
angles: 90.00 90.00 90.00
Space group Pna2_1 (No. 33)
One atom of each set of equivalent atoms:
Zr: 0.175 0.146 0.000 x4
H: 0.017 0.102 0.523 x4
H: 0.053 0.670 0.515 x4
H: 0.205 0.496 0.024 x4
H: 0.214 0.325 0.518 x4

Theoretical powder X-ray diffraction pattern
Compound: Hf
Radiation: Cu Ka
Structure: a crystal structure in OQMD, relaxed with GGA-PBE
Kinematic intensities with the Lorentz-polarization factor, no thermal factor.

The 8 most intense peaks (2θ from 10° to 90°), by intensity:
(1 1 1), 2θ 37.26, d = 2.413 Å, I = 100.0
(0 2 1), 2θ 36.84, d = 2.440 Å, I = 55.6
(0 0 2), 2θ 35.53, d = 2.527 Å, I = 38.9
(1 1 0), 2θ 32.60, d = 2.747 Å, I = 26.4
(1 3 2), 2θ 69.52, d = 1.352 Å, I = 22.3
(1 1 3), 2θ 64.94, d = 1.436 Å, I = 20.0
(1 3 0), 2θ 57.58, d = 1.601 Å, I = 19.5
(1 1 2), 2θ 48.98, d = 1.860 Å, I = 17.1

abc: 3.157 5.571 5.053
angles: 90.00 90.00 90.00
Space group Cmcm (No. 63)
One atom of each set of equivalent atoms:
Hf: 0.000 0.163 0.250 x4